Computed X-ray powder pattern
Compound: La7As5P
Radiation: λ = 1.5418 Å (Cu Kα)
Structure: a cell relaxed with PBE
Lines closer than 0.1° are merged.

The 10 most intense peaks (2θ from 10° to 80°), in order of falling intensity:
2θ/deg	intensity	(hkl)
41.78	100.0	0 6 5
27.57	88.9	0 2 7
28.76	83.1	1 3 2
29.84	81.1	1 3 3
41.94	38.1	2 0 0
50.93	33.3	2 2 7
30.82	32.8	0 2 8
43.49	31.6	0 6 6
28.09	23.8	1 3 1
38.68	23.3	1 1 9

Structure:
```
data_La7As5P
_space_group_name_H-M_alt 'C m c m'
_space_group_IT_number 63
_space_group_name_Hall '-C 2c 2'
_cell_length_a 4.3082
_cell_length_b 14.3563
_cell_length_c 25.3717
_cell_angle_alpha 90.00
_cell_angle_beta 90.00
_cell_angle_gamma 90.00
loop_
_atom_site_label
_atom_site_type_symbol
_atom_site_fract_x
_atom_site_fract_y
_atom_site_fract_z
La1 La 0.0000 0.0549 0.2500
La2 La 0.0000 0.1375 0.5360
La3 La 0.0000 0.3142 0.1795
La4 La 0.0000 0.4137 0.6069
As1 As 0.0000 0.0484 0.6479
As2 As 0.0000 0.2260 0.0754
As3 As 0.0000 0.5000 0.0000
P1 P 0.0000 0.3002 0.7500
```